[1]
This entry pairs a crystal structure of Ce3Sb4Ir3 with its simulated XRD peak list. Radiation: Cu Kα X-rays. Structure: a cell relaxed with GGA-PBE.
Intensities are scaled so that the largest is 100.

Cell and atoms:
a b c (Å): 9.784 9.784 9.784
angles (deg): 90.00 90.00 90.00
Space group I-43d (No. 220)
Asymmetric unit:
Ce1 0.000 0.250 0.875 [12 per cell]
Sb1 0.084 0.416 0.584 [16 per cell]
Ir1 0.000 0.250 0.375 [12 per cell]

Most intense lines, 10° ≤ 2θ ≤ 80°, by angle:
| 2θ/deg | I_rel | h k l |
| --- | --- | --- |
| 22.26 | 28 | 2 1 1 |
| 34.29 | 100 | 3 2 1 |
| 41.27 | 48 | 4 2 0 |
| 43.38 | 11 | 3 3 2 |
| 45.41 | 14 | 4 2 2 |
| 47.38 | 15 | 5 1 0 |
| 51.14 | 13 | 5 2 1 |
| 59.78 | 12 | 6 2 0 |
| 66.17 | 11 | 4 4 4 |
| 70.76 | 14 | 5 5 2 |

***

[2]
This entry pairs a crystal structure of Ce3Si3Ir2 with its simulated XRD peak list. Radiation: Cu Kα X-rays. Structure: a cell relaxed with GGA-PBE.
Intensities are scaled so that the largest is 100.

Cell and atoms:
a b c (Å): 4.155 10.706 15.099
angles (deg): 90.00 90.00 90.00
Space group Cmcm (No. 63)
Asymmetric unit:
Ce1 0.000 0.086 0.250 [4 per cell]
Ce2 0.000 0.362 0.094 [8 per cell]
Si1 0.000 0.082 0.051 [8 per cell]
Si2 0.000 0.202 0.750 [4 per cell]
Ir1 0.000 0.346 0.619 [8 per cell]

Most intense lines, 10° ≤ 2θ ≤ 80°, by angle:
| 2θ/deg | I_rel | h k l |
| --- | --- | --- |
| 17.58 | 25 | 0 2 1 |
| 22.96 | 14 | 1 1 0 |
| 23.57 | 22 | 0 0 4 |
| 25.85 | 14 | 1 1 2 |
| 33.12 | 100 | 1 3 0 |
| 33.48 | 25 | 0 4 0 |
| 35.67 | 15 | 0 0 6 |
| 37.77 | 15 | 1 1 5 |
| 41.03 | 44 | 1 3 4 |
| 43.57 | 23 | 2 0 0 |

***

[3]
This entry pairs a crystal structure of Ce2Si3Ir with its simulated XRD peak list. Radiation: Cu Kα X-rays. Structure: a cell relaxed with GGA-PBE.
Intensities are scaled so that the largest is 100.

Cell and atoms:
a b c (Å): 4.027 4.172 7.115
angles (deg): 90.00 90.00 90.00
Space group Pmm2 (No. 25)
Asymmetric unit:
Ce1 0.000 0.000 0.000 [1 per cell]
Ce2 0.000 0.500 0.493 [1 per cell]
Si1 0.500 0.000 0.665 [1 per cell]
Si2 0.500 0.500 0.161 [1 per cell]
Si3 0.500 0.500 0.830 [1 per cell]
Ir1 0.500 0.000 0.330 [1 per cell]

Most intense lines, 10° ≤ 2θ ≤ 80°, by angle:
| 2θ/deg | I_rel | h k l |
| --- | --- | --- |
| 12.44 | 34 | 0 0 1 |
| 24.74 | 21 | 0 1 1 |
| 25.42 | 12 | 1 0 1 |
| 33.39 | 100 | 1 1 1 |
| 33.62 | 49 | 1 0 2 |
| 43.38 | 19 | 0 2 0 |
| 43.91 | 37 | 0 1 3 |
| 45.03 | 17 | 2 0 0 |
| 55.97 | 23 | 1 2 2 |
| 64.71 | 23 | 2 1 3 |

***

[4]
This entry pairs a crystal structure of Ce2Sm2Si4Ir with its simulated XRD peak list. Radiation: Cu Kα X-rays. Structure: a cell relaxed with GGA-PBE.
Intensities are scaled so that the largest is 100.

Cell and atoms:
a b c (Å): 7.106 7.106 8.153
angles (deg): 90.00 90.00 90.00
Space group I4/mmm (No. 139)
Asymmetric unit:
Ce1 0.000 0.000 0.168 [4 per cell]
Sm1 0.000 0.500 0.250 [4 per cell]
Si1 0.240 0.240 0.500 [8 per cell]
Ir1 0.000 0.000 0.500 [2 per cell]

Most intense lines, 10° ≤ 2θ ≤ 80°, by angle:
| 2θ/deg | I_rel | h k l |
| --- | --- | --- |
| 25.06 | 100 | 2 0 0 |
| 28.19 | 42 | 1 1 2 |
| 33.46 | 31 | 2 0 2 |
| 35.36 | 44 | 1 0 3 |
| 35.74 | 73 | 2 2 0 |
| 43.83 | 46 | 2 1 3 |
| 46.12 | 22 | 3 1 2 |
| 51.44 | 26 | 4 0 0 |
| 57.79 | 23 | 3 2 3 |
| 58.05 | 21 | 4 2 0 |

***

[5]
This entry pairs a crystal structure of Ce2Si4TcIr3 with its simulated XRD peak list. Radiation: Cu Kα X-rays. Structure: a cell relaxed with GGA-PBE.
Intensities are scaled so that the largest is 100.

Cell and atoms:
a b c (Å): 4.237 4.237 9.662
angles (deg): 90.00 90.00 90.00
Space group P-4m2 (No. 115)
Asymmetric unit:
Ce1 0.000 0.500 0.250 [2 per cell]
Si1 0.000 0.000 0.000 [1 per cell]
Si2 0.000 0.500 0.624 [2 per cell]
Si3 0.500 0.500 0.000 [1 per cell]
Tc1 0.000 0.000 0.500 [1 per cell]
Ir1 0.000 0.500 0.875 [2 per cell]
Ir2 0.500 0.500 0.500 [1 per cell]

Most intense lines, 10° ≤ 2θ ≤ 80°, by angle:
| 2θ/deg | I_rel | h k l |
| --- | --- | --- |
| 28.01 | 50 | 1 0 2 |
| 29.82 | 27 | 1 1 0 |
| 31.26 | 73 | 1 1 1 |
| 34.99 | 91 | 1 0 3 |
| 35.25 | 100 | 1 1 2 |
| 42.68 | 84 | 2 0 0 |
| 48.40 | 26 | 1 1 4 |
| 52.01 | 30 | 1 0 5 |
| 56.33 | 47 | 2 1 3 |
| 61.94 | 28 | 2 2 0 |

***

[6]
This entry pairs a crystal structure of Ce2Y2Si4Ir with its simulated XRD peak list. Radiation: Cu Kα X-rays. Structure: a cell relaxed with GGA-PBE.
Intensities are scaled so that the largest is 100.

Cell and atoms:
a b c (Å): 7.079 7.079 8.092
angles (deg): 90.00 90.00 90.00
Space group I4/mmm (No. 139)
Asymmetric unit:
Ce1 0.000 0.000 0.168 [4 per cell]
Y1 0.000 0.500 0.250 [4 per cell]
Si1 0.241 0.241 0.500 [8 per cell]
Ir1 0.000 0.000 0.500 [2 per cell]

Most intense lines, 10° ≤ 2θ ≤ 80°, by angle:
| 2θ/deg | I_rel | h k l |
| --- | --- | --- |
| 17.72 | 64 | 1 1 0 |
| 25.16 | 100 | 2 0 0 |
| 28.36 | 27 | 1 1 2 |
| 33.64 | 21 | 2 0 2 |
| 35.62 | 64 | 1 0 3 |
| 35.88 | 82 | 2 2 0 |
| 44.11 | 67 | 2 1 3 |
| 51.64 | 28 | 4 0 0 |
| 58.11 | 33 | 3 2 3 |
| 64.31 | 23 | 4 1 3 |

***

[7]
This entry pairs a crystal structure of CeSm3Ir8 with its simulated XRD peak list. Radiation: Cu Kα X-rays. Structure: a cell relaxed with GGA-PBE.
Intensities are scaled so that the largest is 100.

Cell and atoms:
a b c (Å): 5.4105 5.4105 26.4717
angles (deg): 90.00 90.00 120.00
Space group R3m (No. 160, hexagonal axes)
Asymmetric unit:
Ce1 0.0000 0.0000 0.0000 [3 per cell]
Sm1 0.0000 0.0000 0.3756 [3 per cell]
Sm2 0.0000 0.0000 0.5004 [3 per cell]
Sm3 0.0000 0.0000 0.8748 [3 per cell]
Ir1 0.0000 0.0000 0.1877 [3 per cell]
Ir2 0.0000 0.0000 0.6878 [3 per cell]
Ir3 0.0017 0.5008 0.9381 [9 per cell]
Ir4 0.1673 0.3346 0.7706 [9 per cell]

Most intense lines, 10° ≤ 2θ ≤ 80°, by angle:
| 2θ/deg | I_rel | h k l |
| --- | --- | --- |
| 20.11 | 15 | 0 1 2 |
| 33.13 | 20 | 1 1 0 |
| 39.06 | 100 | 2 0 2 |
| 40.87 | 49 | 0 2 4 |
| 47.55 | 9 | 2 0 8 |
| 52.13 | 4 | 1 2 2 |
| 59.18 | 7 | 3 0 0 |
| 63.17 | 33 | 3 0 6 |
| 69.53 | 30 | 2 2 0 |
| 79.21 | 3 | 2 1 16 |

***

[8]
This entry pairs a crystal structure of Ce2SmTlIr with its simulated XRD peak list. Radiation: Cu Kα X-rays. Structure: a cell relaxed with GGA-PBE.
Intensities are scaled so that the largest is 100.

Cell and atoms:
a b c (Å): 5.341 5.341 5.699
angles (deg): 90.00 90.00 90.00
Space group P4mm (No. 99)
Asymmetric unit:
Ce1 0.000 0.500 0.000 [2 per cell]
Sm1 0.000 0.000 0.500 [1 per cell]
Tl1 0.500 0.500 0.501 [1 per cell]
Ir1 0.000 0.000 0.000 [1 per cell]

Most intense lines, 10° ≤ 2θ ≤ 80°, by angle:
| 2θ/deg | I_rel | h k l |
| --- | --- | --- |
| 22.82 | 44 | 1 0 1 |
| 23.56 | 24 | 1 1 0 |
| 28.35 | 90 | 1 1 1 |
| 31.39 | 60 | 0 0 2 |
| 33.56 | 100 | 2 0 0 |
| 40.97 | 20 | 2 1 1 |
| 46.61 | 80 | 2 0 2 |
| 48.19 | 37 | 2 2 0 |
| 56.86 | 26 | 3 1 1 |
| 58.65 | 41 | 2 2 2 |